Record 1
Diffraction record for CaNdAl3O7. The powder diffraction line list is theoretical, not measured: it uses the PBE geometry in the Materials Project and Cu Kα X-rays.
Peak positions follow from Bragg's law for the DFT cell and can differ from measured ones.

```
data_CaNdAl3O7
_chemical_formula_sum 'Ca4 Nd4 Al12 O28'
_cell_length_a 10.979
_cell_length_b 11.138
_cell_length_c 5.164
_cell_angle_alpha 90.00
_cell_angle_beta 90.00
_cell_angle_gamma 90.00
_space_group_name_H-M_alt 'C m m 2'
_space_group_IT_number 35
_space_group_name_Hall 'C 2 -2'
loop_
_atom_site_label
_atom_site_fract_x
_atom_site_fract_y
_atom_site_fract_z
Ca1 0.160 0.000 0.000
Nd1 0.000 0.337 0.974
Al1 0.000 0.142 0.526
Al2 0.145 0.500 0.443
Al3 0.250 0.250 0.480
O1 0.000 0.000 0.673
O2 0.000 0.145 0.189
O3 0.000 0.500 0.295
O4 0.124 0.217 0.680
O5 0.137 0.500 0.781
O6 0.211 0.375 0.284
```

Principal peaks in the range 2θ from 10° to 90°, sorted by position:
| 2theta | intensity | (hkl) |
| --- | --- | --- |
| 11.32 | 33 | 1 1 0 |
| 16.15 | 42 | 2 0 0 |
| 17.17 | 18 | 0 0 1 |
| 20.61 | 18 | 1 1 1 |
| 23.65 | 50 | 2 0 1 |
| 28.64 | 35 | 2 2 1 |
| 30.76 | 100 | 1 3 1 |
| 31.01 | 57 | 3 1 1 |
| 38.70 | 20 | 3 3 1 |
| 43.48 | 24 | 1 3 2 |


Record 2
Diffraction record for CaAl2O4. The powder diffraction line list is theoretical, not measured: it uses the PBE geometry in the Materials Project and Cu Kα X-rays.
Peak positions follow from Bragg's law for the DFT cell and can differ from measured ones.

```
data_CaAl2O4
_chemical_formula_sum 'Ca8 Al16 O32'
_cell_length_a 8.040
_cell_length_b 8.707
_cell_length_c 10.378
_cell_angle_alpha 90.00
_cell_angle_beta 95.01
_cell_angle_gamma 90.00
_space_group_name_H-M_alt 'P 1 21/c 1'
_space_group_IT_number 14
_space_group_name_Hall '-P 2ybc'
loop_
_atom_site_label
_atom_site_fract_x
_atom_site_fract_y
_atom_site_fract_z
Ca1 0.005 0.217 0.126
Ca2 0.468 0.244 0.144
Al1 0.179 0.557 0.138
Al2 0.224 0.059 0.368
Al3 0.294 0.607 0.616
Al4 0.305 0.097 0.889
O1 0.020 0.514 0.831
O2 0.153 0.743 0.071
O3 0.216 0.066 0.039
O4 0.231 0.244 0.292
O5 0.271 0.077 0.537
O6 0.286 0.574 0.296
O7 0.347 0.568 0.782
O8 0.488 0.657 0.561
```

Principal peaks in the range 2θ from 10° to 90°, sorted by position:
| 2theta | intensity | (hkl) |
| --- | --- | --- |
| 28.87 | 100 | 2 1 -2 |
| 30.33 | 78 | 2 2 0 |
| 31.17 | 46 | 2 1 2 |
| 32.03 | 22 | 0 3 1 |
| 34.71 | 39 | 0 0 4 |
| 35.48 | 55 | 0 3 2 |
| 37.73 | 26 | 1 3 2 |
| 45.28 | 22 | 4 0 0 |
| 48.31 | 22 | 2 2 4 |
| 62.70 | 43 | 0 3 6 |


Record 3
Diffraction record for Ca6Al7O16. The powder diffraction line list is theoretical, not measured: it uses the PBE geometry in the Materials Project and Cu Kα X-rays.
Peak positions follow from Bragg's law for the DFT cell and can differ from measured ones.

```
data_Ca6Al7O16
_chemical_formula_sum 'Ca24 Al28 O64'
_cell_length_a 12.100
_cell_length_b 12.100
_cell_length_c 12.100
_cell_angle_alpha 90.00
_cell_angle_beta 90.00
_cell_angle_gamma 90.00
_space_group_name_H-M_alt 'I -4 3 d'
_space_group_IT_number 220
_space_group_name_Hall 'I -4bd 2c 3'
loop_
_atom_site_label
_atom_site_fract_x
_atom_site_fract_y
_atom_site_fract_z
Ca1 0.000 0.250 0.110
Al1 0.000 0.250 0.375
Al2 0.018 0.482 0.518
O1 0.034 0.058 0.651
O2 0.065 0.065 0.065
```

Principal peaks in the range 2θ from 10° to 90°, sorted by position:
| 2theta | intensity | (hkl) |
| --- | --- | --- |
| 17.96 | 100 | 2 1 1 |
| 27.58 | 13 | 3 2 1 |
| 29.53 | 26 | 4 0 0 |
| 33.11 | 70 | 4 2 0 |
| 36.37 | 36 | 4 2 2 |
| 40.85 | 30 | 5 2 1 |
| 46.25 | 26 | 5 3 2 |
| 54.70 | 25 | 6 4 0 |
| 56.95 | 28 | 6 4 2 |
| 66.47 | 14 | 7 5 0 |


Record 4
Diffraction record for CaAl2O4. The powder diffraction line list is theoretical, not measured: it uses the PBE geometry in the Materials Project and Cu Kα X-rays.
Peak positions follow from Bragg's law for the DFT cell and can differ from measured ones.

```
data_CaAl2O4
_chemical_formula_sum 'Ca4 Al8 O16'
_cell_length_a 9.000
_cell_length_b 2.900
_cell_length_c 10.411
_cell_angle_alpha 90.00
_cell_angle_beta 90.00
_cell_angle_gamma 90.00
_space_group_name_H-M_alt 'P n m a'
_space_group_IT_number 62
_space_group_name_Hall '-P 2ac 2n'
loop_
_atom_site_label
_atom_site_fract_x
_atom_site_fract_y
_atom_site_fract_z
Ca1 0.242 0.250 0.155
Al1 0.062 0.250 0.389
Al2 0.081 0.250 0.897
O1 0.026 0.750 0.785
O2 0.077 0.250 0.572
O3 0.114 0.750 0.020
O4 0.203 0.750 0.346
```

Principal peaks in the range 2θ from 10° to 90°, sorted by position:
| 2theta | intensity | (hkl) |
| --- | --- | --- |
| 34.49 | 100 | 0 0 4 |
| 36.87 | 26 | 2 1 0 |
| 41.82 | 71 | 1 1 3 |
| 44.31 | 42 | 3 1 1 |
| 51.37 | 40 | 4 1 0 |
| 52.20 | 23 | 4 1 1 |
| 61.81 | 20 | 6 0 0 |
| 63.36 | 40 | 4 1 4 |
| 64.25 | 24 | 0 2 0 |
| 75.01 | 21 | 0 2 4 |


Record 5
Diffraction record for CaAl2O4. The powder diffraction line list is theoretical, not measured: it uses the PBE geometry in the Materials Project and Cu Kα X-rays.
Peak positions follow from Bragg's law for the DFT cell and can differ from measured ones.

```
data_CaAl2O4
_chemical_formula_sum 'Ca2 Al4 O8'
_cell_length_a 5.611
_cell_length_b 3.807
_cell_length_c 7.112
_cell_angle_alpha 90.00
_cell_angle_beta 101.12
_cell_angle_gamma 90.00
_space_group_name_H-M_alt 'P 1 21/m 1'
_space_group_IT_number 11
_space_group_name_Hall '-P 2yb'
loop_
_atom_site_label
_atom_site_fract_x
_atom_site_fract_y
_atom_site_fract_z
Ca1 0.232 0.250 0.428
Al1 0.155 0.750 0.112
Al2 0.347 0.250 0.871
O1 0.044 0.250 0.697
O2 0.143 0.250 0.074
O3 0.359 0.750 0.929
O4 0.441 0.750 0.307
```

Principal peaks in the range 2θ from 10° to 90°, sorted by position:
| 2theta | intensity | (hkl) |
| --- | --- | --- |
| 12.68 | 63 | 0 0 1 |
| 26.67 | 57 | 0 1 1 |
| 28.50 | 60 | 1 1 0 |
| 29.97 | 56 | 1 1 -1 |
| 32.58 | 76 | 2 0 -1 |
| 45.74 | 95 | 2 0 2 |
| 45.96 | 77 | 2 0 -3 |
| 47.78 | 100 | 0 2 0 |
| 68.30 | 38 | 2 2 2 |
| 68.46 | 37 | 2 2 -3 |